Diffraction record for Cu15Sb. The X-ray powder pattern is simulated, not measured: it uses a PBE-relaxed structure and λ = 1.5418 Å (Cu Kα).

Structural model:
```
data_Cu15Sb
_cell_length_a 5.1034
_cell_length_b 3.5981
_cell_length_c 33.6887
_cell_angle_alpha 90.00
_cell_angle_beta 90.15
_cell_angle_gamma 90.00
_symmetry_space_group_name_H-M 'P 1 21/m 1'
_symmetry_Int_Tables_number 11
_symmetry_space_group_name_Hall '-P 2yb'
loop_
_atom_site_label
_atom_site_fract_x
_atom_site_fract_y
_atom_site_fract_z
_atom_site_occupancy
Cu1 0.1228 0.2500 0.2460 1
Cu2 0.1248 0.2500 0.0186 1
Cu3 0.1251 0.2500 0.0939 1
Cu4 0.1246 0.2500 0.1695 1
Cu5 0.1253 0.2500 0.7922 1
Cu6 0.1249 0.2500 0.8677 1
Cu7 0.1250 0.2500 0.9433 1
Cu8 0.3744 0.7500 0.2816 1
Cu9 0.3751 0.7500 0.0563 1
Cu10 0.3749 0.7500 0.1312 1
Cu11 0.3745 0.7500 0.2069 1
Cu12 0.3747 0.7500 0.7543 1
Cu13 0.3748 0.7500 0.8306 1
Cu14 0.3750 0.7500 0.9061 1
Cu15 0.3749 0.7500 0.9813 1
Sb1 0.1259 0.2500 0.7051 1
```

Largest 10 diffraction maxima, in order of rising 2θ, 2θ = 10–80°:
2theta	d_spacing	I/Imax	index
10.50	8.422	20	0 0 4
40.76	2.214	10	0 1 12
43.01	2.103	67	0 1 13
43.50	2.080	100	2 1 0
45.34	2.000	21	0 1 14
50.11	1.821	21	2 0 -13
50.24	1.816	20	2 0 13
50.77	1.798	31	0 2 0
74.09	1.280	12	2 2 -13
74.20	1.278	12	2 2 13

Diffraction record for Li4CdInPd2. The X-ray powder pattern is simulated, not measured: it uses a PBE-relaxed structure and λ = 1.5418 Å (Cu Kα).

Structural model:
```
data_Li4CdInPd2
_cell_length_a 4.4867
_cell_length_b 4.4867
_cell_length_c 6.3364
_cell_angle_alpha 90.00
_cell_angle_beta 90.00
_cell_angle_gamma 90.00
_symmetry_space_group_name_H-M 'P -4 m 2'
_symmetry_Int_Tables_number 115
_symmetry_space_group_name_Hall 'P -4 -2'
loop_
_atom_site_label
_atom_site_fract_x
_atom_site_fract_y
_atom_site_fract_z
_atom_site_occupancy
Li1 0.0000 0.0000 0.0000 1
Li2 0.0000 0.5000 0.2462 1
Li3 0.5000 0.5000 0.5000 1
Cd1 0.5000 0.5000 0.0000 1
In1 0.0000 0.0000 0.5000 1
Pd1 0.0000 0.5000 0.7439 1
```

Largest 8 diffraction maxima, in order of rising 2θ, 2θ = 10–80°:
2theta	d_spacing	I/Imax	index
24.31	3.662	100	1 0 1
40.22	2.242	94	2 0 0
47.55	1.912	48	2 1 1
58.18	1.586	15	2 2 0
63.99	1.455	19	3 0 1
73.09	1.295	31	3 1 2
78.31	1.221	11	3 2 1
78.41	1.220	3	1 0 5

Diffraction record for Al5FeCo4. The X-ray powder pattern is simulated, not measured: it uses a PBE-relaxed structure and λ = 1.5418 Å (Cu Kα).

Structural model:
```
data_Al5FeCo4
_cell_length_a 2.8484
_cell_length_b 2.8484
_cell_length_c 14.2615
_cell_angle_alpha 90.00
_cell_angle_beta 90.00
_cell_angle_gamma 90.00
_symmetry_space_group_name_H-M 'P 4/m m m'
_symmetry_Int_Tables_number 123
_symmetry_space_group_name_Hall '-P 4 2'
loop_
_atom_site_label
_atom_site_fract_x
_atom_site_fract_y
_atom_site_fract_z
_atom_site_occupancy
Al1 0.0000 0.0000 0.0000 1
Al2 0.0000 0.0000 0.2002 1
Al3 0.0000 0.0000 0.4012 1
Fe1 0.5000 0.5000 0.5000 1
Co1 0.5000 0.5000 0.0995 1
Co2 0.5000 0.5000 0.2985 1
```

Largest 6 diffraction maxima, in order of rising 2θ, 2θ = 10–80°:
2theta	d_spacing	I/Imax	index
31.39	2.850	21	1 0 0
44.99	2.015	100	1 1 0
55.88	1.645	5	1 1 5
65.44	1.426	5	0 0 10
65.54	1.424	10	2 0 0
74.45	1.274	5	2 1 0

Diffraction record for Nd3Al11. The X-ray powder pattern is simulated, not measured: it uses a PBE-relaxed structure and λ = 1.5418 Å (Cu Kα).

Structural model:
```
data_Nd3Al11
_cell_length_a 4.3847
_cell_length_b 10.0315
_cell_length_c 13.0285
_cell_angle_alpha 90.00
_cell_angle_beta 90.00
_cell_angle_gamma 90.00
_symmetry_space_group_name_H-M 'I m m m'
_symmetry_Int_Tables_number 71
_symmetry_space_group_name_Hall '-I 2 2'
loop_
_atom_site_label
_atom_site_fract_x
_atom_site_fract_y
_atom_site_fract_z
_atom_site_occupancy
Nd1 0.0000 0.0000 0.0000 1
Nd2 0.0000 0.0000 0.3175 1
Al1 0.0000 0.2144 0.5000 1
Al2 0.0000 0.2745 0.1365 1
Al3 0.0000 0.3689 0.3341 1
Al4 0.0000 0.5000 0.0000 1
```

Largest 10 diffraction maxima, in order of rising 2θ, 2θ = 10–80°:
2theta	d_spacing	I/Imax	index
17.68	5.016	33	0 2 0
22.13	4.018	48	1 1 0
22.31	3.985	46	0 1 3
28.94	3.086	39	1 0 3
33.71	2.659	40	1 3 0
33.83	2.649	34	0 3 3
34.12	2.628	100	1 2 3
41.18	2.192	24	2 0 0
50.04	1.823	21	0 5 3
54.31	1.689	18	2 3 3

Diffraction record for Tm3In4Co2. The X-ray powder pattern is simulated, not measured: it uses a PBE-relaxed structure and λ = 1.5418 Å (Cu Kα).

Structural model:
```
data_Tm3In4Co2
_cell_length_a 8.0292
_cell_length_b 8.0292
_cell_length_c 3.5010
_cell_angle_alpha 90.00
_cell_angle_beta 90.00
_cell_angle_gamma 120.00
_symmetry_space_group_name_H-M 'P -6'
_symmetry_Int_Tables_number 174
_symmetry_space_group_name_Hall 'P -6'
loop_
_atom_site_label
_atom_site_fract_x
_atom_site_fract_y
_atom_site_fract_z
_atom_site_occupancy
Tm1 0.0803 0.4083 0.0000 1
In1 0.0000 0.0000 0.0000 1
In2 0.3805 0.2971 0.5000 1
Co1 0.3333 0.6667 0.5000 1
Co2 0.6667 0.3333 0.0000 1
```

Largest 10 diffraction maxima, in order of rising 2θ, 2θ = 10–80°:
2theta	d_spacing	I/Imax	index
33.98	2.639	100	1 1 1
34.11	2.628	80	1 2 0
36.42	2.467	51	2 0 1
38.85	2.318	36	3 0 0
43.04	2.102	41	2 1 1
52.26	1.750	16	0 0 2
59.36	1.557	17	4 0 1
63.90	1.457	26	1 2 2
64.16	1.452	32	2 3 1
66.99	1.397	14	3 0 2

Diffraction record for Nd4S3NCl3. The X-ray powder pattern is simulated, not measured: it uses a PBE-relaxed structure and λ = 1.5418 Å (Cu Kα).

Structural model:
```
data_Nd4S3NCl3
_cell_length_a 9.3544
_cell_length_b 9.3544
_cell_length_c 6.8688
_cell_angle_alpha 90.00
_cell_angle_beta 90.00
_cell_angle_gamma 120.00
_symmetry_space_group_name_H-M 'P 63 m c'
_symmetry_Int_Tables_number 186
_symmetry_space_group_name_Hall 'P 6c -2c'
loop_
_atom_site_label
_atom_site_fract_x
_atom_site_fract_y
_atom_site_fract_z
_atom_site_occupancy
Nd1 0.2020 0.4040 0.0000 1
Nd2 0.3333 0.6667 0.5343 1
S1 0.0649 0.5325 0.2781 1
N1 0.3333 0.6667 0.8793 1
Cl1 0.1313 0.2625 0.6103 1
```

Largest 10 diffraction maxima, in order of rising 2θ, 2θ = 10–80°:
2theta	d_spacing	I/Imax	index
10.92	8.101	29	1 0 0
21.94	4.051	29	2 0 0
25.53	3.489	100	2 0 1
25.94	3.434	33	0 0 2
32.00	2.797	32	2 1 1
34.23	2.620	47	2 0 2
35.73	2.513	52	3 0 1
38.49	2.339	31	2 2 0
39.43	2.286	20	2 1 2
45.51	1.993	33	2 0 3

Diffraction record for BaCu2GeSe4. The X-ray powder pattern is simulated, not measured: it uses a PBE-relaxed structure and λ = 1.5418 Å (Cu Kα).

Structural model:
```
data_BaCu2GeSe4
_cell_length_a 6.5881
_cell_length_b 6.5881
_cell_length_c 16.4273
_cell_angle_alpha 90.00
_cell_angle_beta 90.00
_cell_angle_gamma 120.00
_symmetry_space_group_name_H-M 'P 31 2 1'
_symmetry_Int_Tables_number 152
_symmetry_space_group_name_Hall 'P 31 2"'
loop_
_atom_site_label
_atom_site_fract_x
_atom_site_fract_y
_atom_site_fract_z
_atom_site_occupancy
Ba1 0.0000 0.4494 0.1667 1
Cu1 0.0788 0.4322 0.9225 1
Ge1 0.0000 0.2865 0.6667 1
Se1 0.0390 0.5311 0.5509 1
Se2 0.1066 0.7701 0.9973 1
```

Largest 10 diffraction maxima, in order of rising 2θ, 2θ = 10–80°:
2theta	d_spacing	I/Imax	index
22.51	3.951	42	1 0 3
26.75	3.333	36	1 0 4
27.07	3.294	61	1 1 0
29.21	3.057	32	1 1 2
31.40	2.849	100	1 0 5
35.48	2.530	72	0 2 3
47.03	1.932	28	0 1 8
47.63	1.909	30	2 1 4
48.17	1.889	29	0 3 1
50.63	1.803	37	2 1 5

Diffraction record for Pr4CClF4. The X-ray powder pattern is simulated, not measured: it uses a PBE-relaxed structure and λ = 1.5418 Å (Cu Kα).

Structural model:
```
data_Pr4CClF4
_cell_length_a 15.1877
_cell_length_b 3.8022
_cell_length_c 7.8892
_cell_angle_alpha 90.00
_cell_angle_beta 118.05
_cell_angle_gamma 90.00
_symmetry_space_group_name_H-M 'C 1 2/m 1'
_symmetry_Int_Tables_number 12
_symmetry_space_group_name_Hall '-C 2y'
loop_
_atom_site_label
_atom_site_fract_x
_atom_site_fract_y
_atom_site_fract_z
_atom_site_occupancy
Pr1 0.0039 0.0000 0.2196 1
Pr2 0.1830 0.5000 0.1623 1
C1 0.0000 0.5000 0.0000 1
Cl1 0.0000 0.5000 0.5000 1
F1 0.1818 0.0000 0.9523 1
F2 0.1920 0.0000 0.3629 1
```

Largest 10 diffraction maxima, in order of rising 2θ, 2θ = 10–80°:
2theta	d_spacing	I/Imax	index
12.71	6.962	62	0 0 1
22.32	3.982	39	2 0 1
26.89	3.316	44	4 0 -2
29.58	3.020	40	3 1 -1
30.88	2.896	79	3 1 0
33.17	2.701	100	1 1 -2
33.69	2.660	41	3 1 -2
41.81	2.161	40	3 1 -3
46.51	1.953	43	3 1 2
48.45	1.879	45	7 1 -2

Diffraction record for NdSi2AgAu. The X-ray powder pattern is simulated, not measured: it uses a PBE-relaxed structure and λ = 1.5418 Å (Cu Kα).

Structural model:
```
data_NdSi2AgAu
_cell_length_a 4.2765
_cell_length_b 4.2765
_cell_length_c 10.5005
_cell_angle_alpha 90.00
_cell_angle_beta 90.00
_cell_angle_gamma 90.00
_symmetry_space_group_name_H-M 'I -4 m 2'
_symmetry_Int_Tables_number 119
_symmetry_space_group_name_Hall 'I -4 -2'
loop_
_atom_site_label
_atom_site_fract_x
_atom_site_fract_y
_atom_site_fract_z
_atom_site_occupancy
Nd1 0.0000 0.0000 0.0000 1
Si1 0.0000 0.0000 0.3891 1
Ag1 0.0000 0.5000 0.7500 1
Au1 0.0000 0.5000 0.2500 1
```

Largest 10 diffraction maxima, in order of rising 2θ, 2θ = 10–80°:
2theta	d_spacing	I/Imax	index
16.89	5.250	13	0 0 2
22.45	3.961	19	1 0 1
33.07	2.709	16	1 0 3
34.21	2.621	100	1 1 2
42.27	2.138	28	2 0 0
45.79	1.982	12	1 1 4
48.32	1.884	12	1 0 5
55.42	1.658	16	2 0 4
61.19	1.515	13	1 1 6
72.11	1.310	26	3 1 2

Diffraction record for YErCo2Ge4. The X-ray powder pattern is simulated, not measured: it uses a PBE-relaxed structure and λ = 1.5418 Å (Cu Kα).

Structural model:
```
data_YErCo2Ge4
_cell_length_a 4.1185
_cell_length_b 4.1144
_cell_length_c 16.6869
_cell_angle_alpha 90.00
_cell_angle_beta 90.00
_cell_angle_gamma 90.00
_symmetry_space_group_name_H-M 'A m m 2'
_symmetry_Int_Tables_number 38
_symmetry_space_group_name_Hall 'A 2 -2'
loop_
_atom_site_label
_atom_site_fract_x
_atom_site_fract_y
_atom_site_fract_z
_atom_site_occupancy
Y1 0.0000 0.0000 0.0000 1
Er1 0.5000 0.0000 0.7806 1
Co1 0.0000 0.0000 0.2110 1
Co2 0.5000 0.0000 0.5706 1
Ge1 0.0000 0.0000 0.3457 1
Ge2 0.0000 0.0000 0.6407 1
Ge3 0.5000 0.0000 0.1415 1
Ge4 0.5000 0.0000 0.4352 1
```

Largest 10 diffraction maxima, in order of rising 2θ, 2θ = 10–80°:
2theta	d_spacing	I/Imax	index
10.60	8.343	16	0 0 2
31.19	2.867	20	1 1 1
34.61	2.592	33	0 1 5
34.79	2.579	100	1 1 3
39.08	2.305	31	1 0 6
43.97	2.059	30	2 0 0
44.02	2.057	28	0 2 0
57.13	1.612	15	2 1 5
60.30	1.535	17	1 2 6
63.96	1.456	19	2 2 0

Diffraction record for SrNi9P5. The X-ray powder pattern is simulated, not measured: it uses a PBE-relaxed structure and λ = 1.5418 Å (Cu Kα).

Structural model:
```
data_SrNi9P5
_cell_length_a 6.5062
_cell_length_b 6.5062
_cell_length_c 10.7430
_cell_angle_alpha 90.00
_cell_angle_beta 90.00
_cell_angle_gamma 120.00
_symmetry_space_group_name_H-M 'P 63/m m c'
_symmetry_Int_Tables_number 194
_symmetry_space_group_name_Hall '-P 6c 2c'
loop_
_atom_site_label
_atom_site_fract_x
_atom_site_fract_y
_atom_site_fract_z
_atom_site_occupancy
Sr1 0.0000 0.0000 0.0000 1
Ni1 0.0719 0.5360 0.1073 1
Ni2 0.2025 0.4051 0.7500 1
P1 0.1737 0.3475 0.2500 1
P2 0.3333 0.6667 0.5619 1
```

Largest 10 diffraction maxima, in order of rising 2θ, 2θ = 10–80°:
2theta	d_spacing	I/Imax	index
15.73	5.635	43	1 0 0
31.76	2.817	59	2 0 0
32.17	2.783	65	1 1 2
36.00	2.495	100	2 0 2
37.08	2.424	56	1 0 4
46.73	1.944	69	2 0 4
49.25	1.850	54	3 0 1
49.82	1.830	64	2 1 3
55.03	1.669	77	2 1 4
56.58	1.627	48	2 2 0